Na3NiO3: simulated X-ray diffraction stick pattern (λ = 1.5418 Å (Cu Kα)), based on the GGA+U geometry in Alexandria.
Intensities are scaled so that the largest is 100.

abc: 9.325 9.325 4.436
angles: 90.00 90.00 90.00
Sites, in units of the cell vectors:
1 Na 0.128 0.372 0.000
2 Na 0.128 0.628 0.500
3 Na 0.153 0.153 0.500
4 Na 0.347 0.653 0.000
5 Na 0.372 0.128 0.000
6 Na 0.372 0.872 0.500
7 Na 0.628 0.128 0.500
8 Na 0.628 0.872 0.000
9 Na 0.653 0.347 0.000
10 Na 0.847 0.847 0.500
11 Na 0.872 0.372 0.500
12 Na 0.872 0.628 0.000
13 Ni 0.108 0.892 0.000
14 Ni 0.392 0.392 0.500
15 Ni 0.608 0.608 0.500
16 Ni 0.892 0.108 0.000
17 O 0.095 0.095 0.000
18 O 0.103 0.695 0.000
19 O 0.195 0.397 0.500
20 O 0.305 0.897 0.000
21 O 0.397 0.195 0.500
22 O 0.405 0.595 0.500
23 O 0.595 0.405 0.500
24 O 0.603 0.805 0.500
25 O 0.695 0.103 0.000
26 O 0.805 0.603 0.500
27 O 0.897 0.305 0.000
28 O 0.905 0.905 0.000

Largest 12 diffraction maxima, by angle, 2θ from 10° to 80°:
(1 1 0), 6.594 Å, 2θ 13.43, I = 31; (2 1 0), 4.170 Å, 2θ 21.31, I = 14; (1 0 1), 4.006 Å, 2θ 22.19, I = 100; (1 1 1), 3.680 Å, 2θ 24.18, I = 22; (2 2 1), 2.646 Å, 2θ 33.88, I = 89; (4 0 0), 2.331 Å, 2θ 38.62, I = 72; (0 0 2), 2.218 Å, 2θ 40.68, I = 48; (5 0 1), 1.719 Å, 2θ 53.29, I = 28; (4 4 0), 1.648 Å, 2θ 55.77, I = 15; (4 0 2), 1.607 Å, 2θ 57.34, I = 40; (6 2 1), 1.399 Å, 2θ 66.87, I = 27; (4 4 2), 1.323 Å, 2θ 71.29, I = 13